Entry 1:
Starting from a cell relaxed with PBE, the powder diffraction line list of HoB4As was simulated for Cu Kα.
Lines closer than 0.1° are merged.

Structure:
```
6
Lattice="-1.582 2.488 4.262 1.582 -2.488 4.262 1.582 2.488 -4.262" Properties=species:S:1:pos:R:3 pbc="T T T"
Ho 0.000 0.000 0.000
B 1.582 -0.921 1.950
B 1.582 0.921 1.950
B 0.000 1.567 2.312
B 0.000 3.409 2.312
As 0.000 0.000 4.262
```

Principal peaks in the range 10° ≤ 2θ ≤ 80°, sorted by position:
2θ/deg  I/Imax
20.7  31
20.8  85
33.6  65
36.1  25
39.8  100
42.0  46
42.4  23
55.1  33
67.4  16
74.5  17
75.9  15
79.2  15

=====

Entry 2:
Starting from a cell relaxed with PBE, the powder diffraction line list of SmHoB2As2Ir2 was simulated for Cu Kα.
Lines closer than 0.1° are merged.

Structure:
```
8
Lattice="3.985 0.000 0.000 0.000 3.985 0.000 0.000 0.000 8.648" Properties=species:S:1:pos:R:3 pbc="T T T"
Sm 0.000 0.000 0.000
Ho 1.992 1.992 3.628
B 0.000 0.000 5.236
B 1.992 1.992 7.072
As 0.000 0.000 3.094
As 1.992 1.992 0.596
Ir 0.000 1.992 6.131
Ir 1.992 0.000 6.131
```

Principal peaks in the range 10° ≤ 2θ ≤ 80°, sorted by position:
2θ/deg  I/Imax
10.2  56
24.6  19
31.0  49
33.4  88
38.1  100
38.5  19
45.5  48
56.1  37
63.1  22
75.0  16
76.4  17
79.2  24

=====

Entry 3:
Starting from a cell relaxed with PBE, the powder diffraction line list of YHoB2As2Ir2 was simulated for Cu Kα.
Lines closer than 0.1° are merged.

Structure:
```
8
Lattice="3.958 0.000 0.000 0.000 3.958 0.000 0.000 0.000 8.660" Properties=species:S:1:pos:R:3 pbc="T T T"
Y 0.000 0.000 0.000
Ho 1.979 1.979 3.660
B 0.000 0.000 5.226
B 1.979 1.979 7.083
As 0.000 0.000 3.072
As 1.979 1.979 0.586
Ir 0.000 1.979 6.152
Ir 1.979 0.000 6.152
```

Principal peaks in the range 10° ≤ 2θ ≤ 80°, sorted by position:
2θ/deg  I/Imax
10.2  83
31.0  51
33.7  97
38.3  100
38.6  18
45.9  48
56.4  38
63.1  21
66.9  15
75.5  16
77.0  22
79.8  24